No. 1
This entry pairs a crystal structure of YCoO3 with its theoretical X-ray powder pattern. Radiation: Cu Kα. Structure: the PBE+U geometry in the Materials Project.
Neutral-atom scattering factors, no anomalous dispersion.

Most intense lines, 2θ = 10–80°, sorted by position:
2θ (°), d (Å), intensity
28.4, 3.144, 28
29.5, 3.028, 68
31.9, 2.805, 44
32.6, 2.743, 100
43.2, 2.093, 34
50.3, 1.815, 59
57.3, 1.607, 30
60.8, 1.524, 39

Structural model:
```
YCoO3
1.0
3.6309 0.0000 0.0000
-1.8154 3.1444 0.0000
0.0000 0.0000 11.2197
Y Co O
2 2 6
Direct
0.0000 0.0000 0.0000
0.0000 0.0000 0.5000
0.3333 0.6667 0.2500
0.6667 0.3333 0.7500
0.0000 0.0000 0.2500
0.0000 0.0000 0.7500
0.3333 0.6667 0.0841
0.3333 0.6667 0.4159
0.6667 0.3333 0.5841
0.6667 0.3333 0.9159
```

No. 2
This entry pairs a crystal structure of YCoO3 with its theoretical X-ray powder pattern. Radiation: Cu Kα. Structure: the PBE+U geometry in the Materials Project.
Neutral-atom scattering factors, no anomalous dispersion.

Most intense lines, 2θ = 10–80°, sorted by position:
2θ (°), d (Å), intensity
26.0, 3.428, 25
31.1, 2.873, 38
33.2, 2.701, 100
33.4, 2.681, 91
34.2, 2.619, 46
46.9, 1.935, 35
48.6, 1.872, 47
60.8, 1.523, 48

Structural model:
```
YCoO3
1.0
5.2373 0.0000 0.0000
0.0100 5.7459 0.0000
0.0012 0.0842 7.4888
Y Co O
4 4 12
Direct
0.0216 0.0834 0.2467
0.4778 0.5836 0.2466
0.5222 0.4164 0.7534
0.9784 0.9166 0.7533
0.0000 0.5000 0.0000
0.0000 0.5000 0.5000
0.5000 0.0000 0.0000
0.5000 0.0000 0.5000
0.1089 0.5315 0.7534
0.1933 0.8142 0.4474
0.2013 0.8204 0.0544
0.2989 0.3201 0.0546
0.3063 0.3146 0.4476
0.3914 0.0313 0.7528
0.6086 0.9687 0.2472
0.6937 0.6854 0.5524
0.7011 0.6799 0.9454
0.7987 0.1796 0.9456
0.8067 0.1858 0.5526
0.8911 0.4685 0.2466
```

No. 3
This entry pairs a crystal structure of YCoO3 with its theoretical X-ray powder pattern. Radiation: Cu Kα. Structure: the PBE+U geometry in the Materials Project.
Neutral-atom scattering factors, no anomalous dispersion.

Most intense lines, 2θ = 10–80°, sorted by position:
2θ (°), d (Å), intensity
25.9, 3.439, 21
31.5, 2.838, 20
33.3, 2.690, 100
33.8, 2.650, 36
46.9, 1.936, 20
48.6, 1.874, 20
48.7, 1.869, 16
60.2, 1.537, 24

Structural model:
```
YCoO3
1.0
5.6753 0.0000 0.0000
0.0000 7.4778 0.0000
0.0000 0.0000 5.2966
Y Co O
4 4 12
Direct
0.0775 0.2500 0.0212
0.4225 0.7500 0.5212
0.5775 0.2500 0.4788
0.9225 0.7500 0.9788
0.0000 0.0000 0.5000
0.0000 0.5000 0.5000
0.5000 0.0000 0.0000
0.5000 0.5000 0.0000
0.0316 0.7500 0.3902
0.1911 0.5537 0.8056
0.1911 0.9463 0.8056
0.3089 0.0537 0.3056
0.3089 0.4463 0.3056
0.4684 0.2500 0.8902
0.5316 0.7500 0.1098
0.6911 0.5537 0.6944
0.6911 0.9463 0.6944
0.8089 0.0537 0.1944
0.8089 0.4463 0.1944
0.9684 0.2500 0.6098
```

No. 4
This entry pairs a crystal structure of YCoO3 with its theoretical X-ray powder pattern. Radiation: Cu Kα. Structure: the PBE+U geometry in the Materials Project.
Neutral-atom scattering factors, no anomalous dispersion.

Most intense lines, 2θ = 10–80°, sorted by position:
2θ (°), d (Å), intensity
29.0, 3.083, 28
30.0, 2.976, 69
31.3, 2.857, 39
33.0, 2.713, 100
43.2, 2.096, 25
51.3, 1.780, 58
56.8, 1.620, 21
61.4, 1.511, 32

Structural model:
```
YCoO3
1.0
6.1658 0.0000 0.0000
-3.0829 5.3397 0.0000
0.0000 0.0000 11.4283
Y Co O
6 6 18
Direct
0.0000 0.0000 0.0000
0.0000 0.0000 0.5000
0.3333 0.6667 0.4543
0.3333 0.6667 0.9543
0.6667 0.3333 0.4543
0.6667 0.3333 0.9543
0.0000 0.3344 0.2234
0.0000 0.6656 0.7234
0.3344 0.0000 0.2234
0.3344 0.3344 0.7234
0.6656 0.0000 0.7234
0.6656 0.6656 0.2234
0.0000 0.0000 0.2059
0.0000 0.0000 0.7059
0.0000 0.3076 0.3886
0.0000 0.3587 0.0636
0.0000 0.6413 0.5636
0.0000 0.6924 0.8886
0.3076 0.0000 0.3886
0.3076 0.3076 0.8886
0.3333 0.6667 0.2458
0.3333 0.6667 0.7458
0.3587 0.0000 0.0636
0.3587 0.3587 0.5636
0.6413 0.0000 0.5636
0.6413 0.6413 0.0636
0.6667 0.3333 0.2458
0.6667 0.3333 0.7458
0.6924 0.0000 0.8886
0.6924 0.6924 0.3886
```

No. 5
This entry pairs a crystal structure of YCo2O4 with its theoretical X-ray powder pattern. Radiation: Cu Kα. Structure: the PBE+U geometry in the Materials Project.
Neutral-atom scattering factors, no anomalous dispersion.

Most intense lines, 2θ = 10–80°, sorted by position:
2θ (°), d (Å), intensity
17.7, 5.012, 28
28.7, 3.107, 32
32.7, 2.737, 100
33.8, 2.651, 60
34.1, 2.630, 28
34.4, 2.604, 74
40.2, 2.241, 39
59.5, 1.553, 72

Structural model:
```
YCo2O4
1.0
-3.0803 3.2667 4.3105
3.0803 -3.2667 4.3105
3.0803 3.2667 -4.3105
Y Co O
2 4 8
Direct
0.0000 0.0000 0.0000
0.5000 0.0000 0.5000
0.0000 0.0000 0.5000
0.0000 0.5000 0.0000
0.3780 0.6280 0.7500
0.6220 0.3720 0.2500
0.2273 0.7367 0.4906
0.2475 0.2463 0.4988
0.2475 0.7487 0.0012
0.2540 0.2633 0.9906
0.7460 0.7367 0.0094
0.7525 0.2513 0.9988
0.7525 0.7537 0.5012
0.7727 0.2633 0.5094
```

No. 6
This entry pairs a crystal structure of YCo2O4 with its theoretical X-ray powder pattern. Radiation: Cu Kα. Structure: the PBE+U geometry in the Materials Project.
Neutral-atom scattering factors, no anomalous dispersion.

Most intense lines, 2θ = 10–80°, sorted by position:
2θ (°), d (Å), intensity
29.0, 3.074, 32
29.2, 3.059, 31
34.2, 2.624, 37
34.3, 2.613, 100
51.7, 1.768, 15
55.1, 1.668, 41
60.2, 1.537, 27
60.5, 1.530, 28

Structural model:
```
YCo2O4
1.0
3.0591 1.7662 5.0332
-3.0591 1.7662 5.0332
0.0000 -3.5324 5.0332
Y Co O
2 4 8
Direct
0.1209 0.1209 0.1209
0.8791 0.8791 0.8791
0.0000 0.5000 0.5000
0.5000 0.0000 0.5000
0.5000 0.5000 0.0000
0.5000 0.5000 0.5000
0.2580 0.2580 0.6954
0.2580 0.6954 0.2580
0.2655 0.2655 0.2655
0.3046 0.7420 0.7420
0.6954 0.2580 0.2580
0.7345 0.7345 0.7345
0.7420 0.3046 0.7420
0.7420 0.7420 0.3046
```

No. 7
This entry pairs a crystal structure of YCo2O4 with its theoretical X-ray powder pattern. Radiation: Cu Kα. Structure: the PBE+U geometry in the Materials Project.
Neutral-atom scattering factors, no anomalous dispersion.

Most intense lines, 2θ = 10–80°, sorted by position:
2θ (°), d (Å), intensity
29.0, 3.075, 27
31.9, 2.805, 37
37.0, 2.433, 100
49.7, 1.835, 17
55.0, 1.669, 14
56.8, 1.621, 13
60.2, 1.538, 35
75.7, 1.256, 9

Structural model:
```
YCo2O4
1.0
-2.8099 2.8099 4.8538
2.8099 -2.8099 4.8538
2.8099 2.8099 -4.8538
Y Co O
2 4 8
Direct
0.3750 0.1250 0.2500
0.6250 0.8750 0.7500
0.0000 0.0000 0.5000
0.0000 0.5000 0.0000
0.0000 0.5000 0.5000
0.5000 0.5000 0.0000
0.0263 0.1397 0.3130
0.2133 0.5263 0.3866
0.3267 0.7133 0.1870
0.3603 0.1733 0.8866
0.6397 0.8267 0.1134
0.6733 0.2867 0.8130
0.7867 0.4737 0.6134
0.9737 0.8603 0.6870
```

No. 8
This entry pairs a crystal structure of YCoO3 with its theoretical X-ray powder pattern. Radiation: Cu Kα. Structure: the PBE+U geometry in the Materials Project.
Neutral-atom scattering factors, no anomalous dispersion.

Most intense lines, 2θ = 10–80°, sorted by position:
2θ (°), d (Å), intensity
31.3, 2.853, 39
33.0, 2.713, 51
33.2, 2.702, 100
33.3, 2.687, 47
34.0, 2.638, 47
48.3, 1.886, 28
48.3, 1.884, 31
60.2, 1.537, 25

Structural model:
```
YCoO3
1.0
5.2772 0.0000 0.0000
-0.0644 5.7070 0.0000
-0.0445 -0.0088 7.5353
Y Co O
4 4 12
Direct
0.0173 0.4207 0.2466
0.4756 0.9220 0.2474
0.5244 0.0780 0.7526
0.9827 0.5793 0.7534
0.0000 0.0000 0.0000
0.0000 0.0000 0.5000
0.5000 0.5000 0.0000
0.5000 0.5000 0.5000
0.1196 0.9608 0.7530
0.1855 0.6904 0.0585
0.2005 0.6844 0.4489
0.2971 0.1865 0.4472
0.3100 0.1887 0.0572
0.3932 0.4648 0.7559
0.6068 0.5352 0.2441
0.6900 0.8113 0.9428
0.7029 0.8135 0.5528
0.7995 0.3156 0.5511
0.8145 0.3096 0.9415
0.8804 0.0392 0.2470
```